The following is a simulated powder XRD pattern of ZnFe4F12. It was derived from a cell relaxed with PBE+U, using Cu Kα.
Intensities are scaled so that the largest is 100.

Crystal structure
Cell lengths 10.634, 7.742, 7.509 Å; angles 90.00, 130.59, 90.00 degrees
Space group C2/m (No. 12)
Inequivalent atoms, fractional coordinates:
1 Zn 0.000 0.000 0.000 [2 per cell]
2 Fe 0.250 0.250 0.000 [4 per cell]
3 Fe 0.250 0.250 0.500 [4 per cell]
4 F 0.023 0.204 0.204 [8 per cell]
5 F 0.196 0.196 0.694 [8 per cell]
6 F 0.200 0.500 0.492 [4 per cell]
7 F 0.226 0.000 0.077 [4 per cell]

Principal peaks in the range 10° ≤ 2θ ≤ 90°, sorted by position:
h k l  d [Å]  I_rel
1 1 0  5.588  80
1 1 -1  5.383  61
2 0 0  4.038  100
0 2 0  3.871  84
2 0 -2  3.745  56
2 2 0  2.794  73
2 2 -2  2.691  80
4 0 0  2.019  52